The following is a calculated XRD peak list of Cr3SnF9. It was derived from a cell relaxed with PBE+U, using copper Kα.
Peak positions follow from Bragg's law for the DFT cell and can differ from measured ones.

Cell and atoms:
Cell: 6.0274 7.5921 8.2467 Å, 90.00 96.33 90.00°
Space group P2_1/m (No. 11)
One atom of each set of equivalent atoms:
Cr 0.0000 0.0000 0.0000
Cr 0.4809 0.0005 0.7121
Sn 0.0296 0.2500 0.4349
F 0.0731 0.2500 0.9641
F 0.0844 0.5606 0.7839
F 0.2695 0.5500 0.5024
F 0.3058 0.5461 0.0879
F 0.3740 0.2500 0.6957
F 0.4013 0.2500 0.2940

Principal peaks in the range 10° ≤ 2θ ≤ 90°, by intensity:
index	2θ (°)	I/Imax
1 0 -2	24.94	100.0
1 0 2	27.68	72.8
1 2 1	30.53	63.8
2 0 0	29.83	60.0
1 2 0	27.82	55.5
0 2 1	25.87	53.5
0 0 1	10.79	52.3
1 2 -1	29.30	45.9
0 4 0	47.93	35.8
2 1 -2	37.11	35.3